# K6Hg2O
Computed powder diffractogram, Cu Kα (weighted mean of Kα1 and Kα2). Input: a crystal structure in Alexandria, relaxed with GGA-PBE.

Largest 12 diffraction maxima, low angle first, 10° ≤ 2θ ≤ 90°:
- 2θ 10.7, 8.247 Å, rel. 74
- 2θ 16.2, 5.486 Å, rel. 100
- 2θ 19.8, 4.492 Å, rel. 30
- 2θ 26.2, 3.398 Å, rel. 77
- 2θ 28.2, 3.160 Å, rel. 68
- 2θ 28.8, 3.101 Å, rel. 61
- 2θ 30.5, 2.930 Å, rel. 47
- 2θ 31.7, 2.819 Å, rel. 46
- 2θ 32.6, 2.747 Å, rel. 31
- 2θ 35.2, 2.552 Å, rel. 36
- 2θ 39.6, 2.278 Å, rel. 38
- 2θ 49.2, 1.850 Å, rel. 36

Crystal structure
Cell lengths 3.8654, 20.7854, 8.9839 Å; angles 90.00, 90.00, 90.00 degrees
Space group Amm2 (No. 38)
Asymmetric unit:
1 K 0.0000 0.0000 0.0000 (multiplicity 2)
2 K 0.0000 0.0882 0.7113 (multiplicity 4)
3 K 0.5000 0.0000 0.4400 (multiplicity 2)
4 K 0.5000 0.2351 0.0208 (multiplicity 4)
5 Hg 0.0000 0.1388 0.2977 (multiplicity 4)
6 O 0.5000 0.0000 0.7503 (multiplicity 2)

# KPaHgO5
Computed powder diffractogram, Cu Kα (weighted mean of Kα1 and Kα2). Input: a crystal structure in Alexandria, relaxed with GGA-PBE.

Largest 12 diffraction maxima, low angle first, 10° ≤ 2θ ≤ 90°:
- 2θ 16.0, 5.533 Å, rel. 33
- 2θ 17.0, 5.218 Å, rel. 37
- 2θ 20.1, 4.412 Å, rel. 26
- 2θ 24.1, 3.686 Å, rel. 100
- 2θ 27.6, 3.233 Å, rel. 72
- 2θ 28.3, 3.154 Å, rel. 68
- 2θ 28.6, 3.122 Å, rel. 99
- 2θ 31.3, 2.854 Å, rel. 48
- 2θ 34.4, 2.609 Å, rel. 29
- 2θ 44.9, 2.017 Å, rel. 27
- 2θ 49.4, 1.844 Å, rel. 28
- 2θ 51.3, 1.781 Å, rel. 39

Crystal structure
Cell lengths 6.8030, 10.6948, 8.2179 Å; angles 90.00, 108.14, 90.00 degrees
Space group C2/c (No. 15)
Asymmetric unit:
1 K 0.0000 0.1794 0.2500 (multiplicity 4)
2 Pa 0.0000 0.5000 0.0000 (multiplicity 4)
3 Hg 0.0000 0.1698 0.7500 (multiplicity 4)
4 O 0.0000 0.4347 0.2500 (multiplicity 4)
5 O 0.0408 0.3085 0.5746 (multiplicity 8)
6 O 0.1783 0.0316 0.9255 (multiplicity 8)

# K2HgPdO4
Computed powder diffractogram, Cu Kα (weighted mean of Kα1 and Kα2). Input: a crystal structure in Alexandria, relaxed with GGA-PBE.

Largest 12 diffraction maxima, low angle first, 10° ≤ 2θ ≤ 90°:
- 2θ 15.1, 5.870 Å, rel. 100
- 2θ 28.5, 3.130 Å, rel. 16
- 2θ 30.5, 2.935 Å, rel. 36
- 2θ 30.8, 2.902 Å, rel. 32
- 2θ 31.1, 2.878 Å, rel. 31
- 2θ 31.9, 2.806 Å, rel. 57
- 2θ 34.0, 2.640 Å, rel. 41
- 2θ 37.4, 2.407 Å, rel. 67
- 2θ 48.4, 1.881 Å, rel. 13
- 2θ 51.1, 1.786 Å, rel. 22
- 2θ 51.6, 1.771 Å, rel. 24
- 2θ 59.5, 1.554 Å, rel. 12

Crystal structure
Cell lengths 6.3010, 3.3130, 6.3716 Å; angles 90.00, 112.89, 90.00 degrees
Space group P2/m (No. 10)
Asymmetric unit:
1 K 0.0000 0.0000 0.0000 (multiplicity 1)
2 K 0.5000 0.5000 0.0000 (multiplicity 1)
3 Hg 0.0000 0.5000 0.5000 (multiplicity 1)
4 Pd 0.5000 0.0000 0.5000 (multiplicity 1)
5 O 0.2755 0.0000 0.6660 (multiplicity 2)
6 O 0.3150 0.5000 0.3106 (multiplicity 2)